Diffraction record for KGdSnWO6. The powder diffractogram is theoretical, not measured: it uses a DFT-relaxed cell (GGA+U, Alexandria) and a wavelength of 1.5418 Å.
Neutral-atom scattering factors, no anomalous dispersion.

Unit cell a=5.9779 b=5.9779 c=8.4278 alpha=90.00 beta=90.00 gamma=90.00
Atoms (fractional coordinates):
K  0.0000  0.0000  0.2500
K  0.0000  0.0000  0.7500
Gd  0.0000  0.5000  0.0000
Gd  0.5000  0.0000  0.5000
Sn  0.5000  0.5000  0.2500
Sn  0.5000  0.5000  0.7500
W  0.0000  0.5000  0.5000
W  0.5000  0.0000  0.0000
O  0.0000  0.5000  0.2691
O  0.0000  0.5000  0.7309
O  0.2380  0.2755  0.5000
O  0.2380  0.7245  0.5000
O  0.2755  0.2380  0.0000
O  0.2755  0.7620  0.0000
O  0.5000  0.0000  0.2309
O  0.5000  0.0000  0.7691
O  0.7245  0.2380  0.0000
O  0.7245  0.7620  0.0000
O  0.7620  0.2755  0.5000
O  0.7620  0.7245  0.5000

The 10 most intense peaks (5° ≤ 2θ ≤ 70°), sorted by position:
hkl  Position (°2θ)  d/Å  I (rel.)
1 0 0  14.82  5.978  5
1 1 0  21.04  4.223  24
2 0 0  29.93  2.986  100
2 2 0  42.79  2.114  20
0 0 4  42.92  2.107  10
3 1 0  48.15  1.890  7
1 1 4  48.26  1.886  3
3 1 2  53.13  1.724  41
4 0 0  62.11  1.494  6
2 2 4  62.22  1.492  13